# Sb6S2O15
Computed PXRD pattern, a wavelength of 1.5418 Å. Input: a PBE-relaxed structure.

Lattice parameters (Å, degrees): 11.4156 11.4156 5.9740 90.00 90.00 114.16
Element x y z (fractional)
1 Sb 0.0433 0.1733 0.6377
2 Sb 0.1200 0.7033 0.0000
3 Sb 0.1733 0.0433 0.1377
4 Sb 0.2428 0.3757 0.0263
5 Sb 0.2967 0.8800 0.5000
6 Sb 0.3757 0.2428 0.5263
7 Sb 0.6243 0.7572 0.5263
8 Sb 0.7033 0.1200 0.5000
9 Sb 0.7572 0.6243 0.0263
10 Sb 0.8267 0.9567 0.1377
11 Sb 0.8800 0.2967 0.0000
12 Sb 0.9567 0.8267 0.6377
13 S 0.2145 0.5254 0.4602
14 S 0.4746 0.7855 0.9602
15 S 0.5254 0.2145 0.9602
16 S 0.7855 0.4746 0.4602
17 O 0.0000 0.0000 0.2865
18 O 0.0000 0.0000 0.7865
19 O 0.0509 0.2576 0.9545
20 O 0.1280 0.4374 0.2764
21 O 0.1495 0.4846 0.6780
22 O 0.1550 0.8276 0.7311
23 O 0.1724 0.8450 0.2311
24 O 0.2255 0.6583 0.4020
25 O 0.2392 0.2405 0.7492
26 O 0.2405 0.2392 0.2492
27 O 0.2576 0.0509 0.4545
28 O 0.3392 0.5167 0.4479
29 O 0.3417 0.7745 0.9020
30 O 0.4374 0.1280 0.7764
31 O 0.4833 0.6608 0.9479
32 O 0.4846 0.1495 0.1780
33 O 0.5154 0.8505 0.1780
34 O 0.5167 0.3392 0.9479
35 O 0.5626 0.8720 0.7764
36 O 0.6583 0.2255 0.9020
37 O 0.6608 0.4833 0.4479
38 O 0.7424 0.9491 0.4545
39 O 0.7595 0.7608 0.2492
40 O 0.7608 0.7595 0.7492
41 O 0.7745 0.3417 0.4020
42 O 0.8276 0.1550 0.2311
43 O 0.8450 0.1724 0.7311
44 O 0.8505 0.5154 0.6780
45 O 0.8720 0.5626 0.2764
46 O 0.9491 0.7424 0.9545

Most intense lines, 2θ from 15° to 90°, in order of rising 2θ:
Position (°2θ)	I/Imax
17.1	33
22.7	17
27.9	100
29.8	50
29.9	14
36.5	13
47.9	13
49.6	14

***

# Sr4BeZn
Computed PXRD pattern, a wavelength of 1.5418 Å. Input: a PBE-relaxed structure.

Lattice parameters (Å, degrees): 7.1993 7.1993 7.1993 60.00 60.00 60.00
Element x y z (fractional)
1 Sr 0.1252 0.1252 0.1252
2 Sr 0.1252 0.1252 0.6243
3 Sr 0.1252 0.6243 0.1252
4 Sr 0.6243 0.1252 0.1252
5 Be 0.5000 0.5000 0.5000
6 Zn 0.7500 0.7500 0.7500

Most intense lines, 2θ from 15° to 90°, in order of rising 2θ:
Position (°2θ)	I/Imax
15.1	47
29.1	100
30.4	69
35.3	20
46.3	36
50.7	34
60.3	28
71.1	22

***

# AcPm2Dy8
Computed PXRD pattern, a wavelength of 1.5418 Å. Input: a PBE-relaxed structure.

Lattice parameters (Å, degrees): 9.5124 9.5124 9.5124 146.15 128.39 63.15
Element x y z (fractional)
1 Ac 0.0000 0.0000 0.0000
2 Pm 0.3008 0.3008 0.0000
3 Pm 0.6992 0.6992 0.0000
4 Dy 0.1512 0.8555 0.2957
5 Dy 0.1612 0.6612 0.5000
6 Dy 0.2970 0.5000 0.7970
7 Dy 0.4401 0.1445 0.2957
8 Dy 0.5599 0.8555 0.7043
9 Dy 0.7030 0.5000 0.2030
10 Dy 0.8388 0.3388 0.5000
11 Dy 0.8488 0.1445 0.7043

Most intense lines, 2θ from 15° to 90°, in order of rising 2θ:
Position (°2θ)	I/Imax
29.4	29
31.7	100
32.3	32
32.9	14
33.2	18
47.0	14
57.2	19
62.1	13